# 1
Structure and computed X-ray powder pattern of Sm4Co (a DFT-relaxed cell (PBE, Alexandria); Cu Kα X-rays).
No peak broadening, texture or thermal motion is included.

Main lines, in order of rising 2θ (2θ from 5° to 70°):
d [Å]  2θ/deg  intensity
3.242  27.52  15
3.149  28.34  34
2.920  30.61  53
2.882  31.03  100
2.259  39.91  25
1.892  48.09  24
1.771  51.62  12
1.762  51.88  23
1.622  56.76  21
1.570  58.83  17

Structure:
```
data_Sm4Co
_space_group_name_H-M_alt 'P 1'
_space_group_IT_number 1
_space_group_name_Hall 'P 1'
_cell_length_a 7.5702
_cell_length_b 7.3170
_cell_length_c 9.1173
_cell_angle_alpha 53.50
_cell_angle_beta 50.99
_cell_angle_gamma 75.51
loop_
_atom_site_label
_atom_site_fract_x
_atom_site_fract_y
_atom_site_fract_z
Sm1 0.2009 0.2956 0.9646
Sm2 0.2119 0.7881 0.4528
Sm3 0.2854 0.7111 0.0491
Sm4 0.2956 0.2009 0.5389
Sm5 0.7028 0.7972 0.4619
Sm6 0.7111 0.2854 0.9544
Sm7 0.7881 0.2119 0.5472
Sm8 0.7972 0.7028 0.0381
Co1 0.2464 0.2464 0.2536
Co2 0.9964 0.9964 0.0036
```

# 2
Structure and computed X-ray powder pattern of Sm7Co3 (a DFT-relaxed cell (PBE, Alexandria); Cu Kα X-rays).
No peak broadening, texture or thermal motion is included.

Main lines, in order of rising 2θ (2θ from 5° to 70°):
d [Å]  2θ/deg  intensity
3.200  27.88  19
2.926  30.55  41
2.847  31.42  100
2.571  34.89  37
2.511  35.76  34
2.444  36.77  27
1.674  54.85  25
1.649  55.76  24
1.634  56.30  22
1.629  56.48  17

Structure:
```
data_Sm7Co3
_space_group_name_H-M_alt 'P 1'
_space_group_IT_number 1
_space_group_name_Hall 'P 1'
_cell_length_a 9.7764
_cell_length_b 9.7764
_cell_length_c 6.2366
_cell_angle_alpha 90.00
_cell_angle_beta 90.00
_cell_angle_gamma 120.00
loop_
_atom_site_label
_atom_site_fract_x
_atom_site_fract_y
_atom_site_fract_z
Sm1 0.0811 0.5406 0.0000
Sm2 0.1250 0.2500 0.3209
Sm3 0.1250 0.8750 0.3209
Sm4 0.2500 0.1250 0.8209
Sm5 0.3333 0.6667 0.5384
Sm6 0.4594 0.5406 0.0000
Sm7 0.4594 0.9189 0.0000
Sm8 0.5406 0.0811 0.5000
Sm9 0.5406 0.4594 0.5000
Sm10 0.6667 0.3333 0.0384
Sm11 0.7500 0.8750 0.3209
Sm12 0.8750 0.1250 0.8209
Sm13 0.8750 0.7500 0.8209
Sm14 0.9189 0.4594 0.5000
Co1 0.1887 0.3775 0.7523
Co2 0.1887 0.8113 0.7523
Co3 0.3775 0.1887 0.2523
Co4 0.6225 0.8113 0.7523
Co5 0.8113 0.1887 0.2523
Co6 0.8113 0.6225 0.2523
```

# 3
Structure and computed X-ray powder pattern of Sm2Co2Sn (a DFT-relaxed cell (PBE, Alexandria); Cu Kα X-rays).
No peak broadening, texture or thermal motion is included.

Main lines, in order of rising 2θ (2θ from 5° to 70°):
d [Å]  2θ/deg  intensity
3.193  27.95  20
2.781  32.19  70
2.745  32.63  22
2.669  33.58  57
2.619  34.24  76
2.498  35.95  35
2.423  37.10  31
2.378  37.83  100
2.213  40.77  43
1.404  66.60  20

Structure:
```
data_Sm2Co2Sn
_space_group_name_H-M_alt 'P 1'
_space_group_IT_number 1
_space_group_name_Hall 'P 1'
_cell_length_a 5.6206
_cell_length_b 5.6206
_cell_length_c 7.8909
_cell_angle_alpha 102.37
_cell_angle_beta 102.37
_cell_angle_gamma 59.47
loop_
_atom_site_label
_atom_site_fract_x
_atom_site_fract_y
_atom_site_fract_z
Sm1 0.0006 0.7050 0.8526
Sm2 0.2950 0.9994 0.6474
Sm3 0.7050 0.0006 0.3526
Sm4 0.9994 0.2950 0.1474
Co1 0.1991 0.5009 0.4978
Co2 0.4991 0.8009 0.0022
Co3 0.5009 0.1991 0.9978
Co4 0.8009 0.4991 0.5022
Sn1 0.3592 0.6408 0.2500
Sn2 0.6408 0.3592 0.7500
```

# 4
Structure and computed X-ray powder pattern of Sm2Co3Sn5 (a DFT-relaxed cell (PBE, Alexandria); Cu Kα X-rays).
No peak broadening, texture or thermal motion is included.

Main lines, in order of rising 2θ (2θ from 5° to 70°):
d [Å]  2θ/deg  intensity
2.747  32.59  8
2.637  34.00  100
2.463  36.48  16
2.421  37.13  15
2.240  40.27  14
2.177  41.48  25
1.631  56.42  9
1.561  59.19  9
1.455  64.01  7
1.452  64.15  12

Structure:
```
data_Sm2Co3Sn5
_space_group_name_H-M_alt 'P 1'
_space_group_IT_number 1
_space_group_name_Hall 'P 1'
_cell_length_a 13.2974
_cell_length_b 13.2974
_cell_length_c 7.1481
_cell_angle_alpha 90.00
_cell_angle_beta 90.00
_cell_angle_gamma 161.16
loop_
_atom_site_label
_atom_site_fract_x
_atom_site_fract_y
_atom_site_fract_z
Sm1 0.0259 0.9741 0.5000
Sm2 0.3287 0.6713 0.4820
Sm3 0.6713 0.3287 0.9820
Sm4 0.9741 0.0259 0.0000
Co1 0.1067 0.8933 0.7564
Co2 0.2776 0.7224 0.9746
Co3 0.4500 0.5500 0.7189
Co4 0.5500 0.4500 0.2189
Co5 0.7224 0.2776 0.4746
Co6 0.8933 0.1067 0.2564
Sn1 0.0934 0.9066 0.1240
Sn2 0.2042 0.7958 0.6856
Sn3 0.2125 0.7875 0.2644
Sn4 0.3780 0.6220 0.9957
Sn5 0.4516 0.5484 0.3339
Sn6 0.5484 0.4516 0.8339
Sn7 0.6220 0.3780 0.4957
Sn8 0.7875 0.2125 0.7644
Sn9 0.7958 0.2042 0.1856
Sn10 0.9066 0.0934 0.6240
```

# 5
Structure and computed X-ray powder pattern of Sm5Co2Sn (a DFT-relaxed cell (PBE, Alexandria); Cu Kα X-rays).
No peak broadening, texture or thermal motion is included.

Main lines, in order of rising 2θ (2θ from 5° to 70°):
d [Å]  2θ/deg  intensity
3.370  26.45  36
2.896  30.88  40
2.761  32.42  100
2.562  35.02  49
2.459  36.54  74
2.145  42.12  24
1.740  52.59  26
1.614  57.06  28
1.400  66.81  23
1.376  68.16  20

Structure:
```
data_Sm5Co2Sn
_space_group_name_H-M_alt 'P 1'
_space_group_IT_number 1
_space_group_name_Hall 'P 1'
_cell_length_a 8.7554
_cell_length_b 8.7554
_cell_length_c 8.7554
_cell_angle_alpha 127.27
_cell_angle_beta 127.27
_cell_angle_gamma 77.81
loop_
_atom_site_label
_atom_site_fract_x
_atom_site_fract_y
_atom_site_fract_z
Sm1 0.0000 0.0000 0.0000
Sm2 0.0271 0.5271 0.8202
Sm3 0.2070 0.0271 0.5000
Sm4 0.2930 0.7930 0.8202
Sm5 0.4729 0.2930 0.5000
Sm6 0.5000 0.5000 0.0000
Sm7 0.5271 0.7070 0.5000
Sm8 0.7070 0.2070 0.1798
Sm9 0.7930 0.9729 0.5000
Sm10 0.9729 0.4729 0.1798
Co1 0.1357 0.3643 0.5000
Co2 0.3643 0.8643 0.2286
Co3 0.6357 0.1357 0.7714
Co4 0.8643 0.6357 0.5000
Sn1 0.2500 0.2500 0.0000
Sn2 0.7500 0.7500 0.0000
```

# 6
Structure and computed X-ray powder pattern of Sm3CoSn (a DFT-relaxed cell (PBE, Alexandria); Cu Kα X-rays).
No peak broadening, texture or thermal motion is included.

Main lines, in order of rising 2θ (2θ from 5° to 70°):
d [Å]  2θ/deg  intensity
2.985  29.93  100
2.654  33.77  31
2.584  34.71  21
2.522  35.60  27
1.852  49.21  16
1.828  49.88  21
1.805  50.57  14
1.589  58.05  16
1.531  60.47  14
1.492  62.20  15

Structure:
```
data_Sm3CoSn
_space_group_name_H-M_alt 'P 1'
_space_group_IT_number 1
_space_group_name_Hall 'P 1'
_cell_length_a 5.3086
_cell_length_b 5.0438
_cell_length_c 10.3367
_cell_angle_alpha 90.00
_cell_angle_beta 90.00
_cell_angle_gamma 90.00
loop_
_atom_site_label
_atom_site_fract_x
_atom_site_fract_y
_atom_site_fract_z
Sm1 0.2500 0.0000 0.1083
Sm2 0.2500 0.0000 0.6653
Sm3 0.2500 0.5000 0.3633
Sm4 0.7500 0.0000 0.3347
Sm5 0.7500 0.0000 0.8917
Sm6 0.7500 0.5000 0.6367
Co1 0.2500 0.0000 0.3879
Co2 0.7500 0.0000 0.6121
Sn1 0.2500 0.5000 0.8683
Sn2 0.7500 0.5000 0.1317
```

# 7
Structure and computed X-ray powder pattern of SmTaCo10 (a DFT-relaxed cell (PBE, Alexandria); Cu Kα X-rays).
No peak broadening, texture or thermal motion is included.

Main lines, in order of rising 2θ (2θ from 5° to 70°):
d [Å]  2θ/deg  intensity
2.874  31.12  89
2.402  37.44  32
2.390  37.63  17
2.084  43.43  19
2.074  43.65  35
2.057  44.03  100
2.049  44.20  51
1.990  45.58  44
1.532  60.41  16
1.436  64.95  21

Structure:
```
data_SmTaCo10
_space_group_name_H-M_alt 'P 1'
_space_group_IT_number 1
_space_group_name_Hall 'P 1'
_cell_length_a 3.9800
_cell_length_b 4.7809
_cell_length_c 8.3350
_cell_angle_alpha 90.00
_cell_angle_beta 90.00
_cell_angle_gamma 90.00
loop_
_atom_site_label
_atom_site_fract_x
_atom_site_fract_y
_atom_site_fract_z
Sm1 0.0000 0.0000 0.0000
Ta1 0.0000 0.5000 0.5000
Co1 0.0000 0.0000 0.3477
Co2 0.0000 0.0000 0.6523
Co3 0.0000 0.5000 0.1876
Co4 0.0000 0.5000 0.8124
Co5 0.5000 0.0000 0.5000
Co6 0.5000 0.2577 0.2624
Co7 0.5000 0.2577 0.7376
Co8 0.5000 0.5000 0.0000
Co9 0.5000 0.7423 0.2624
Co10 0.5000 0.7423 0.7376
```

# 8
Structure and computed X-ray powder pattern of Tb4SmCo (a DFT-relaxed cell (PBE, Alexandria); Cu Kα X-rays).
No peak broadening, texture or thermal motion is included.

Main lines, in order of rising 2θ (2θ from 5° to 70°):
d [Å]  2θ/deg  intensity
3.260  27.36  35
2.984  29.95  42
2.796  32.01  80
2.779  32.22  22
2.768  32.34  44
2.724  32.88  100
2.586  34.68  100
1.810  50.40  32
1.793  50.93  21
1.509  61.43  25

Structure:
```
data_Tb4SmCo
_space_group_name_H-M_alt 'P 1'
_space_group_IT_number 1
_space_group_name_Hall 'P 1'
_cell_length_a 11.9360
_cell_length_b 3.5858
_cell_length_c 8.3757
_cell_angle_alpha 90.00
_cell_angle_beta 110.18
_cell_angle_gamma 90.00
loop_
_atom_site_label
_atom_site_fract_x
_atom_site_fract_y
_atom_site_fract_z
Tb1 0.1245 0.0000 0.3808
Tb2 0.1720 0.0000 0.7962
Tb3 0.3280 0.5000 0.2038
Tb4 0.3755 0.5000 0.6192
Tb5 0.6245 0.5000 0.3808
Tb6 0.6720 0.5000 0.7962
Tb7 0.8280 0.0000 0.2038
Tb8 0.8755 0.0000 0.6192
Sm1 0.0000 0.5000 0.0000
Sm2 0.5000 0.0000 0.0000
Co1 0.0000 0.5000 0.5000
Co2 0.5000 0.0000 0.5000
```

# 9
Structure and computed X-ray powder pattern of TbSmCo3 (a DFT-relaxed cell (PBE, Alexandria); Cu Kα X-rays).
No peak broadening, texture or thermal motion is included.

Main lines, in order of rising 2θ (2θ from 5° to 70°):
d [Å]  2θ/deg  intensity
3.247  27.47  29
2.670  33.56  100
2.599  34.51  66
2.428  37.02  17
2.071  43.70  27
2.005  45.22  28
1.954  46.49  23
1.562  59.17  27
1.441  64.71  18
1.421  65.70  16

Structure:
```
data_TbSmCo3
_space_group_name_H-M_alt 'P 1'
_space_group_IT_number 1
_space_group_name_Hall 'P 1'
_cell_length_a 11.8627
_cell_length_b 11.8627
_cell_length_c 3.9070
_cell_angle_alpha 90.00
_cell_angle_beta 90.00
_cell_angle_gamma 159.89
loop_
_atom_site_label
_atom_site_fract_x
_atom_site_fract_y
_atom_site_fract_z
Tb1 0.2049 0.7951 0.7500
Tb2 0.7951 0.2049 0.2500
Sm1 0.0706 0.9294 0.2500
Sm2 0.9294 0.0706 0.7500
Co1 0.3318 0.6682 0.7500
Co2 0.3789 0.6211 0.2500
Co3 0.4760 0.5240 0.2500
Co4 0.5240 0.4760 0.7500
Co5 0.6211 0.3789 0.7500
Co6 0.6682 0.3318 0.2500
```

# 10
Structure and computed X-ray powder pattern of Sm4CoTe2 (a DFT-relaxed cell (PBE, Alexandria); Cu Kα X-rays).
No peak broadening, texture or thermal motion is included.

Main lines, in order of rising 2θ (2θ from 5° to 70°):
d [Å]  2θ/deg  intensity
6.723  13.17  74
3.534  25.20  44
3.465  25.71  49
2.959  30.20  75
2.826  31.66  89
2.671  33.56  38
2.585  34.70  100
2.322  38.79  42
2.022  44.83  35
1.764  51.81  31

Structure:
```
data_Sm4CoTe2
_space_group_name_H-M_alt 'P 1'
_space_group_IT_number 1
_space_group_name_Hall 'P 1'
_cell_length_a 7.9693
_cell_length_b 4.0433
_cell_length_c 8.0392
_cell_angle_alpha 90.00
_cell_angle_beta 114.28
_cell_angle_gamma 90.00
loop_
_atom_site_label
_atom_site_fract_x
_atom_site_fract_y
_atom_site_fract_z
Sm1 0.0736 0.0000 0.3182
Sm2 0.3478 0.5000 0.7679
Sm3 0.6522 0.5000 0.2321
Sm4 0.9264 0.0000 0.6818
Co1 0.0000 0.5000 0.5000
Te1 0.2957 0.0000 0.0631
Te2 0.7043 0.0000 0.9369
```

# 11
Structure and computed X-ray powder pattern of Sm2ThCo6 (a DFT-relaxed cell (PBE, Alexandria); Cu Kα X-rays).
No peak broadening, texture or thermal motion is included.

Main lines, in order of rising 2θ (2θ from 5° to 70°):
d [Å]  2θ/deg  intensity
5.864  15.11  4
4.086  21.75  2
3.385  26.33  22
2.607  34.40  100
2.043  44.34  13
1.955  46.46  34
1.749  52.30  7
1.693  54.19  3
1.564  59.07  21
1.412  66.17  23

Structure:
```
data_Sm2ThCo6
_space_group_name_H-M_alt 'P 1'
_space_group_IT_number 1
_space_group_name_Hall 'P 1'
_cell_length_a 6.7707
_cell_length_b 6.7707
_cell_length_c 4.0860
_cell_angle_alpha 90.00
_cell_angle_beta 90.00
_cell_angle_gamma 120.00
loop_
_atom_site_label
_atom_site_fract_x
_atom_site_fract_y
_atom_site_fract_z
Sm1 0.3333 0.6667 0.0000
Sm2 0.6667 0.3333 0.0000
Th1 0.0000 0.0000 0.0000
Co1 0.0000 0.3328 0.5000
Co2 0.0000 0.6672 0.5000
Co3 0.3328 0.0000 0.5000
Co4 0.3328 0.3328 0.5000
Co5 0.6672 0.0000 0.5000
Co6 0.6672 0.6672 0.5000
```

# 12
Structure and computed X-ray powder pattern of Sm12TlCo5 (a DFT-relaxed cell (PBE, Alexandria); Cu Kα X-rays).
No peak broadening, texture or thermal motion is included.

Main lines, in order of rising 2θ (2θ from 5° to 70°):
d [Å]  2θ/deg  intensity
3.147  28.36  28
3.084  28.95  36
3.058  29.21  37
2.826  31.66  100
2.638  33.98  59
2.619  34.24  54
2.593  34.59  36
1.665  55.15  26
1.587  58.13  21
1.575  58.61  31

Structure:
```
data_Sm12TlCo5
_space_group_name_H-M_alt 'P 1'
_space_group_IT_number 1
_space_group_name_Hall 'P 1'
_cell_length_a 8.4817
_cell_length_b 8.4817
_cell_length_c 8.4817
_cell_angle_alpha 110.58
_cell_angle_beta 109.97
_cell_angle_gamma 107.88
loop_
_atom_site_label
_atom_site_fract_x
_atom_site_fract_y
_atom_site_fract_z
Sm1 0.0103 0.2017 0.8086
Sm2 0.1854 0.2972 0.4826
Sm3 0.1854 0.7028 0.8883
Sm4 0.3151 0.0092 0.6941
Sm5 0.3151 0.6210 0.3059
Sm6 0.3931 0.2017 0.1914
Sm7 0.6069 0.7983 0.8086
Sm8 0.6849 0.3790 0.6941
Sm9 0.6849 0.9908 0.3059
Sm10 0.8146 0.2972 0.1117
Sm11 0.8146 0.7028 0.5174
Sm12 0.9897 0.7983 0.1914
Tl1 0.5000 0.5000 0.0000
Co1 0.0000 0.0000 0.0000
Co2 0.1120 0.6120 0.5000
Co3 0.3809 0.0000 0.3809
Co4 0.6191 0.0000 0.6191
Co5 0.8880 0.3880 0.5000
```

# 13
Structure and computed X-ray powder pattern of Sm8Tl2Co (a DFT-relaxed cell (PBE, Alexandria); Cu Kα X-rays).
No peak broadening, texture or thermal motion is included.

Main lines, in order of rising 2θ (2θ from 5° to 70°):
d [Å]  2θ/deg  intensity
3.182  28.04  22
2.958  30.22  26
2.881  31.04  82
2.831  31.61  100
2.632  34.07  67
2.574  34.86  23
2.168  41.67  14
1.654  55.56  16
1.624  56.66  15
1.415  66.02  11

Structure:
```
data_Sm8Tl2Co
_space_group_name_H-M_alt 'P 1'
_space_group_IT_number 1
_space_group_name_Hall 'P 1'
_cell_length_a 9.2544
_cell_length_b 9.2544
_cell_length_c 5.7677
_cell_angle_alpha 107.45
_cell_angle_beta 107.45
_cell_angle_gamma 122.74
loop_
_atom_site_label
_atom_site_fract_x
_atom_site_fract_y
_atom_site_fract_z
Sm1 0.0000 0.0000 0.0000
Sm2 0.0635 0.2873 0.6037
Sm3 0.1008 0.6962 0.7876
Sm4 0.2873 0.0635 0.6037
Sm5 0.5130 0.5130 0.3759
Sm6 0.5627 0.7881 0.0489
Sm7 0.6962 0.1008 0.7876
Sm8 0.7881 0.5627 0.0489
Tl1 0.1993 0.5941 0.2939
Tl2 0.5941 0.1993 0.2939
Co1 0.8982 0.8982 0.4611
```